Starting from the GGA-PBE geometry in Alexandria, the powder diffraction line list of Dy5As2C2 was simulated for λ = 1.5418 Å (Cu Kα).

Main lines, in order of falling intensity (10 to 90 degrees two-theta):
| 2θ (°) | I (rel.) |
| --- | --- |
| 28.7 | 100 |
| 32.1 | 91 |
| 36.9 | 87 |
| 28.4 | 86 |
| 29.2 | 83 |
| 34.5 | 82 |
| 36.4 | 65 |
| 33.9 | 60 |
| 54.0 | 58 |
| 27.7 | 56 |

Structure:
```
Dy5As2C2
1.0
-8.589 3.658 3.271
8.589 -3.658 3.271
8.589 3.658 -3.271
Dy As C
10 4 4
Direct
0.197 0.417 0.063
0.197 0.635 0.280
0.243 0.024 0.267
0.243 0.476 0.720
0.355 0.135 0.937
0.355 0.917 0.720
0.698 0.570 0.628
0.757 0.524 0.280
0.757 0.976 0.733
0.942 0.070 0.372
0.683 0.125 0.351
0.683 0.832 0.059
0.773 0.332 0.649
0.773 0.625 0.941
0.089 0.926 0.663
0.246 0.246 0.000
0.246 0.746 0.500
0.264 0.426 0.337
```

***

Starting from the GGA-PBE geometry in Alexandria, the powder diffraction line list of Dy6As2CSe3 was simulated for λ = 1.5418 Å (Cu Kα).

Main lines, in order of falling intensity (10 to 90 degrees two-theta):
| 2θ (°) | I (rel.) |
| --- | --- |
| 31.4 | 100 |
| 31.3 | 46 |
| 45.1 | 32 |
| 44.8 | 32 |
| 27.3 | 23 |
| 45.6 | 19 |
| 44.4 | 18 |
| 56.4 | 17 |
| 65.6 | 11 |
| 27.0 | 10 |

Structure:
```
Dy6As2CSe3
1.0
8.840 -1.988 0.000
8.840 1.988 0.000
-1.956 0.000 7.915
Dy As C Se
6 2 1 3
Direct
0.001 0.001 0.211
0.334 0.334 0.422
0.354 0.354 0.923
0.646 0.646 0.077
0.666 0.666 0.578
0.999 0.999 0.789
0.166 0.166 0.332
0.834 0.834 0.668
0.500 0.500 0.000
0.170 0.170 0.837
0.500 0.500 0.500
0.830 0.830 0.163
```

***

Starting from the GGA-PBE geometry in Alexandria, the powder diffraction line list of Er5As2C was simulated for λ = 1.5418 Å (Cu Kα).

Main lines, in order of falling intensity (10 to 90 degrees two-theta):
| 2θ (°) | I (rel.) |
| --- | --- |
| 32.7 | 100 |
| 29.0 | 82 |
| 27.4 | 75 |
| 37.2 | 71 |
| 50.4 | 59 |
| 28.1 | 51 |
| 39.4 | 46 |
| 25.7 | 42 |
| 42.0 | 37 |
| 27.6 | 33 |

Structure:
```
Er5As2C
1.0
2.739 -5.834 0.000
2.739 5.834 0.000
0.000 0.000 12.907
Er As C
10 4 2
Direct
0.061 0.939 0.626
0.061 0.939 0.874
0.297 0.703 0.250
0.350 0.650 0.608
0.350 0.650 0.892
0.650 0.350 0.108
0.650 0.350 0.392
0.703 0.297 0.750
0.939 0.061 0.126
0.939 0.061 0.374
0.175 0.825 0.064
0.175 0.825 0.436
0.825 0.175 0.564
0.825 0.175 0.936
0.212 0.788 0.750
0.788 0.212 0.250
```

***

Starting from the GGA-PBE geometry in Alexandria, the powder diffraction line list of Er6AsC3 was simulated for λ = 1.5418 Å (Cu Kα).

Main lines, in order of falling intensity (10 to 90 degrees two-theta):
| 2θ (°) | I (rel.) |
| --- | --- |
| 29.4 | 100 |
| 29.8 | 98 |
| 34.4 | 98 |
| 34.8 | 88 |
| 30.0 | 84 |
| 50.0 | 68 |
| 36.1 | 38 |
| 31.0 | 34 |
| 31.1 | 33 |
| 62.3 | 32 |

Structure:
```
Er6AsC3
1.0
10.309 0.000 0.000
0.000 3.652 0.000
-5.000 0.000 11.193
Er As C
12 2 6
Direct
0.020 0.250 0.255
0.143 0.750 0.575
0.182 0.750 0.092
0.331 0.750 0.391
0.349 0.250 0.925
0.476 0.250 0.223
0.524 0.750 0.777
0.651 0.750 0.075
0.669 0.250 0.609
0.818 0.250 0.908
0.857 0.250 0.425
0.980 0.750 0.745
0.373 0.250 0.585
0.627 0.750 0.415
0.010 0.250 0.630
0.248 0.250 0.240
0.408 0.750 0.070
0.592 0.250 0.930
0.752 0.750 0.760
0.990 0.750 0.370
```

***

Starting from the GGA-PBE geometry in Alexandria, the powder diffraction line list of Er4AsC2 was simulated for λ = 1.5418 Å (Cu Kα).

Main lines, in order of falling intensity (10 to 90 degrees two-theta):
| 2θ (°) | I (rel.) |
| --- | --- |
| 33.3 | 100 |
| 32.7 | 96 |
| 33.6 | 87 |
| 28.9 | 40 |
| 36.0 | 33 |
| 59.9 | 33 |
| 50.4 | 25 |
| 48.7 | 24 |
| 62.9 | 23 |
| 29.8 | 22 |

Structure:
```
Er4AsC2
1.0
1.869 -5.997 0.000
1.869 5.997 0.000
0.000 0.000 12.299
Er As C
8 2 4
Direct
0.000 0.000 0.000
0.000 0.000 0.500
0.265 0.735 0.607
0.265 0.735 0.893
0.434 0.566 0.250
0.566 0.434 0.750
0.735 0.265 0.107
0.735 0.265 0.393
0.111 0.889 0.250
0.889 0.111 0.750
0.364 0.636 0.060
0.364 0.636 0.440
0.636 0.364 0.560
0.636 0.364 0.940
```

***

Starting from the GGA-PBE geometry in Alexandria, the powder diffraction line list of Er4AsCSe2 was simulated for λ = 1.5418 Å (Cu Kα).

Main lines, in order of falling intensity (10 to 90 degrees two-theta):
| 2θ (°) | I (rel.) |
| --- | --- |
| 32.1 | 100 |
| 32.0 | 48 |
| 46.2 | 33 |
| 45.7 | 31 |
| 28.0 | 29 |
| 46.8 | 19 |
| 57.8 | 18 |
| 45.3 | 15 |
| 27.6 | 13 |
| 27.2 | 12 |

Structure:
```
Er4AsCSe2
1.0
6.839 0.000 0.000
0.000 3.886 0.000
-2.235 0.000 6.555
Er As C Se
4 1 1 2
Direct
0.217 0.000 0.212
0.232 0.500 0.779
0.768 0.500 0.221
0.783 0.000 0.788
0.500 0.000 0.000
0.000 0.500 0.000
0.000 0.000 0.500
0.500 0.500 0.500
```